(1)
This entry pairs a crystal structure of Li7Mn4CoO12 with its calculated PXRD pattern. Radiation: a wavelength of 1.5418 Å. Structure: the PBE+U geometry in the Materials Project.
Kinematic intensities with the Lorentz-polarization factor, no thermal factor.

Main lines, in order of falling intensity (10° ≤ 2θ ≤ 90°):
| 2theta | I_rel |
| --- | --- |
| 18.4 | 100 |
| 44.2 | 56 |
| 42.4 | 31 |
| 36.3 | 24 |
| 63.0 | 16 |
| 62.8 | 15 |
| 35.2 | 14 |
| 13.7 | 13 |
| 58.2 | 10 |
| 47.5 | 9 |

Atomic structure:
abc: 5.1569 8.6572 9.7462
angles: 90.00 98.30 90.00
Fractional coordinates of all 48 atoms:
1 Li 0.0000 0.0000 0.0000
2 Li 0.0000 0.4969 0.5000
3 Li 0.2393 0.4950 0.2593
4 Li 0.2505 0.6594 0.7484
5 Li 0.2552 0.0000 0.7587
6 Li 0.2585 0.1634 0.2520
7 Li 0.2581 0.8343 0.2540
8 Li 0.2633 0.3300 0.7534
9 Li 0.7367 0.3300 0.2466
10 Li 0.7415 0.1634 0.7480
11 Li 0.7419 0.8343 0.7460
12 Li 0.7448 0.0000 0.2413
13 Li 0.7495 0.6594 0.2516
14 Li 0.7607 0.4950 0.7407
15 Mn 0.0000 0.1670 0.5000
16 Mn 0.0000 0.3279 0.0000
17 Mn 0.0000 0.6687 0.0000
18 Mn 0.0000 0.8275 0.5000
19 Mn 0.5000 0.1642 0.0000
20 Mn 0.5000 0.3299 0.5000
21 Mn 0.5000 0.6640 0.5000
22 Mn 0.5000 0.8335 0.0000
23 Co 0.5000 0.4942 0.0000
24 Co 0.5000 0.9967 0.5000
25 O 0.1119 0.5022 0.8858
26 O 0.1424 0.9970 0.3936
27 O 0.1498 0.1717 0.8892
28 O 0.1502 0.3227 0.3919
29 O 0.1496 0.6717 0.3914
30 O 0.1506 0.8199 0.8886
31 O 0.3500 0.6755 0.1097
32 O 0.3867 0.3180 0.1198
33 O 0.3933 0.9949 0.1133
34 O 0.3939 0.1632 0.6148
35 O 0.3937 0.8293 0.6162
36 O 0.3981 0.4975 0.6155
37 O 0.6019 0.4975 0.3845
38 O 0.6061 0.1632 0.3852
39 O 0.6063 0.8293 0.3838
40 O 0.6067 0.9949 0.8867
41 O 0.6133 0.3180 0.8802
42 O 0.6500 0.6755 0.8903
43 O 0.8494 0.8199 0.1114
44 O 0.8502 0.1717 0.1108
45 O 0.8498 0.3227 0.6081
46 O 0.8504 0.6717 0.6086
47 O 0.8576 0.9970 0.6064
48 O 0.8881 0.5022 0.1142

=====

(2)
This entry pairs a crystal structure of Li5Mn2CoO8 with its calculated PXRD pattern. Radiation: a wavelength of 1.5418 Å. Structure: the PBE+U geometry in the Materials Project.
Kinematic intensities with the Lorentz-polarization factor, no thermal factor.

Main lines, in order of falling intensity (10° ≤ 2θ ≤ 90°):
| 2theta | I_rel |
| --- | --- |
| 17.8 | 100 |
| 43.7 | 62 |
| 40.9 | 40 |
| 36.2 | 29 |
| 34.2 | 20 |
| 61.7 | 19 |
| 61.0 | 19 |
| 13.4 | 16 |
| 79.4 | 11 |
| 46.5 | 10 |

Atomic structure:
abc: 3.0128 3.0128 20.0478
angles: 96.39 96.39 57.10
Fractional coordinates of all 16 atoms:
1 Li 0.0000 0.0000 0.0000
2 Li 0.0134 0.0134 0.4994
3 Li 0.2614 0.2614 0.8771
4 Li 0.5061 0.5061 0.2471
5 Li 0.5304 0.5304 0.7601
6 Mn 0.2594 0.2594 0.3752
7 Mn 0.7659 0.7659 0.6252
8 Co 0.7644 0.7644 0.1272
9 O 0.1343 0.1343 0.1844
10 O 0.1452 0.1452 0.6784
11 O 0.3763 0.3763 0.5678
12 O 0.3997 0.3997 0.0743
13 O 0.6402 0.6402 0.9420
14 O 0.6583 0.6583 0.4337
15 O 0.8659 0.8659 0.3185
16 O 0.8859 0.8859 0.8130

=====

(3)
This entry pairs a crystal structure of Li7Mn2Co3O12 with its calculated PXRD pattern. Radiation: a wavelength of 1.5418 Å. Structure: the PBE+U geometry in the Materials Project.
Kinematic intensities with the Lorentz-polarization factor, no thermal factor.

Main lines, in order of falling intensity (10° ≤ 2θ ≤ 90°):
| 2theta | I_rel |
| --- | --- |
| 18.4 | 100 |
| 43.5 | 28 |
| 43.6 | 27 |
| 43.9 | 27 |
| 36.0 | 26 |
| 63.7 | 15 |
| 36.2 | 12 |
| 62.9 | 7 |
| 63.9 | 7 |
| 63.7 | 7 |

Atomic structure:
abc: 5.1242 5.8455 7.7033
angles: 100.60 109.37 90.23
Fractional coordinates of all 24 atoms:
1 Li 0.0000 0.0000 0.0000
2 Li 0.1584 0.4188 0.6683
3 Li 0.1660 0.9170 0.6737
4 Li 0.4971 0.7570 0.9993
5 Li 0.5029 0.2430 0.0007
6 Li 0.8340 0.0830 0.3263
7 Li 0.8416 0.5812 0.3317
8 Mn 0.3379 0.8324 0.3283
9 Mn 0.6621 0.1676 0.6717
10 Co 0.0000 0.5000 0.0000
11 Co 0.3317 0.3307 0.3229
12 Co 0.6683 0.6693 0.6771
13 O 0.0396 0.2212 0.8284
14 O 0.0487 0.6899 0.8325
15 O 0.2718 0.1098 0.4916
16 O 0.2748 0.6340 0.4942
17 O 0.4202 0.0325 0.1785
18 O 0.4301 0.5604 0.1839
19 O 0.5699 0.4396 0.8161
20 O 0.5798 0.9675 0.8215
21 O 0.7252 0.3660 0.5058
22 O 0.7282 0.8902 0.5084
23 O 0.9513 0.3101 0.1675
24 O 0.9604 0.7788 0.1716

=====

(4)
This entry pairs a crystal structure of Li7Mn2Co3O12 with its calculated PXRD pattern. Radiation: a wavelength of 1.5418 Å. Structure: the PBE+U geometry in the Materials Project.
Kinematic intensities with the Lorentz-polarization factor, no thermal factor.

Main lines, in order of falling intensity (10° ≤ 2θ ≤ 90°):
| 2theta | I_rel |
| --- | --- |
| 18.4 | 100 |
| 42.1 | 33 |
| 43.7 | 29 |
| 44.8 | 26 |
| 35.0 | 17 |
| 36.1 | 13 |
| 36.7 | 11 |
| 62.2 | 9 |
| 62.4 | 8 |
| 63.0 | 8 |

Atomic structure:
abc: 2.9769 7.6142 9.7573
angles: 91.56 97.35 99.78
Fractional coordinates of all 24 atoms:
1 Li 0.0000 0.0000 0.0000
2 Li 0.0768 0.4152 0.7413
3 Li 0.2165 0.2340 0.2345
4 Li 0.3889 0.0748 0.7437
5 Li 0.5605 0.9168 0.2295
6 Li 0.7364 0.7444 0.7427
7 Li 0.9113 0.5830 0.2422
8 Mn 0.4827 0.4954 0.4904
9 Mn 0.6417 0.3225 0.9908
10 Co 0.1560 0.8311 0.4890
11 Co 0.3191 0.6754 0.9853
12 Co 0.8105 0.1607 0.4912
13 O 0.0485 0.2215 0.8812
14 O 0.1487 0.6291 0.6072
15 O 0.1966 0.0311 0.3745
16 O 0.2466 0.4511 0.0917
17 O 0.3481 0.8496 0.8740
18 O 0.4233 0.2894 0.6068
19 O 0.5445 0.7010 0.3741
20 O 0.6163 0.1385 0.1086
21 O 0.6662 0.5376 0.8791
22 O 0.7711 0.9601 0.6084
23 O 0.8154 0.3630 0.3736
24 O 0.9595 0.7689 0.1030

=====

(5)
This entry pairs a crystal structure of Li3MnCoO5 with its calculated PXRD pattern. Radiation: a wavelength of 1.5418 Å. Structure: the PBE+U geometry in the Materials Project.
Kinematic intensities with the Lorentz-polarization factor, no thermal factor.

Main lines, in order of falling intensity (10° ≤ 2θ ≤ 90°):
| 2theta | I_rel |
| --- | --- |
| 18.2 | 100 |
| 43.4 | 59 |
| 36.1 | 37 |
| 43.8 | 26 |
| 63.0 | 16 |
| 63.7 | 12 |
| 56.9 | 10 |
| 28.3 | 9 |
| 11.8 | 9 |
| 32.7 | 8 |

Atomic structure:
abc: 7.8649 7.8649 8.2607
angles: 104.43 104.43 21.35
Fractional coordinates of all 20 atoms:
1 Li 0.0000 0.0000 0.0000
2 Li 0.0000 0.0000 0.5000
3 Li 0.1976 0.1976 0.0933
4 Li 0.4114 0.4114 0.7216
5 Li 0.5886 0.5886 0.2784
6 Li 0.8024 0.8024 0.9067
7 Mn 0.1991 0.1991 0.6035
8 Mn 0.8009 0.8009 0.3965
9 Co 0.4072 0.4072 0.1796
10 Co 0.5928 0.5928 0.8204
11 O 0.0047 0.0047 0.7433
12 O 0.1959 0.1959 0.8283
13 O 0.2115 0.2115 0.3655
14 O 0.3852 0.3852 0.4453
15 O 0.3965 0.3965 0.9595
16 O 0.6035 0.6035 0.0405
17 O 0.6148 0.6148 0.5547
18 O 0.7885 0.7885 0.6345
19 O 0.8041 0.8041 0.1717
20 O 0.9953 0.9953 0.2567

=====

(6)
This entry pairs a crystal structure of Li4MnCo2O7 with its calculated PXRD pattern. Radiation: a wavelength of 1.5418 Å. Structure: the PBE+U geometry in the Materials Project.
Kinematic intensities with the Lorentz-polarization factor, no thermal factor.

Main lines, in order of falling intensity (10° ≤ 2θ ≤ 90°):
| 2theta | I_rel |
| --- | --- |
| 18.2 | 100 |
| 43.4 | 54 |
| 43.3 | 26 |
| 35.9 | 26 |
| 62.7 | 21 |
| 63.3 | 13 |
| 35.8 | 13 |
| 47.4 | 12 |
| 37.4 | 10 |
| 57.2 | 9 |

Atomic structure:
abc: 9.8767 9.8767 9.7828
angles: 114.47 114.47 17.07
Fractional coordinates of all 28 atoms:
1 Li 0.0000 0.0000 0.0000
2 Li 0.1299 0.1299 0.5778
3 Li 0.2852 0.2852 0.1426
4 Li 0.4340 0.4340 0.7261
5 Li 0.5012 0.5012 0.5080
6 Li 0.5676 0.5676 0.2957
7 Li 0.7062 0.7062 0.8576
8 Li 0.8674 0.8674 0.4524
9 Mn 0.2130 0.2130 0.3607
10 Mn 0.9318 0.9318 0.2322
11 Co 0.0635 0.0635 0.7688
12 Co 0.3560 0.3560 0.9378
13 Co 0.6378 0.6378 0.0626
14 Co 0.7856 0.7856 0.6535
15 O 0.0264 0.0264 0.3838
16 O 0.1179 0.1179 0.1936
17 O 0.1764 0.1764 0.9770
18 O 0.2550 0.2550 0.7523
19 O 0.3115 0.3115 0.5383
20 O 0.3955 0.3955 0.3154
21 O 0.4575 0.4575 0.1240
22 O 0.5410 0.5410 0.9099
23 O 0.6048 0.6048 0.6893
24 O 0.6840 0.6840 0.4599
25 O 0.7444 0.7444 0.2680
26 O 0.8293 0.8293 0.0467
27 O 0.8869 0.8869 0.8344
28 O 0.9670 0.9670 0.6289

=====

(7)
This entry pairs a crystal structure of LiMnCo3O8 with its calculated PXRD pattern. Radiation: a wavelength of 1.5418 Å. Structure: the PBE+U geometry in the Materials Project.
Kinematic intensities with the Lorentz-polarization factor, no thermal factor.

Main lines, in order of falling intensity (10° ≤ 2θ ≤ 90°):
| 2theta | I_rel |
| --- | --- |
| 17.8 | 100 |
| 44.0 | 28 |
| 37.0 | 18 |
| 44.3 | 14 |
| 56.9 | 10 |
| 37.1 | 9 |
| 65.8 | 7 |
| 68.7 | 6 |
| 38.5 | 5 |
| 57.4 | 5 |

Atomic structure:
abc: 5.6797 5.9659 9.8300
angles: 73.70 89.87 61.89
Fractional coordinates of all 26 atoms:
1 Li 0.0000 0.0000 0.0000
2 Li 0.4944 0.0147 0.4837
3 Mn 0.2485 0.5055 0.7432
4 Mn 0.7486 0.5104 0.2387
5 Co 0.0000 0.5054 0.9916
6 Co 0.2483 0.5085 0.2409
7 Co 0.4973 0.5082 0.4908
8 Co 0.4976 0.5046 0.9925
9 Co 0.7488 0.5066 0.7422
10 Co 0.9982 0.5090 0.4909
11 O 0.0914 0.3070 0.8568
12 O 0.0974 0.3125 0.3619
13 O 0.1540 0.7032 0.8766
14 O 0.1546 0.6959 0.3798
15 O 0.3454 0.3195 0.1064
16 O 0.3455 0.3099 0.6035
17 O 0.3971 0.7070 0.1208
18 O 0.4058 0.7035 0.6238
19 O 0.5924 0.3122 0.3622
20 O 0.6023 0.3067 0.8589
21 O 0.6493 0.7081 0.3781
22 O 0.6561 0.6896 0.8740
23 O 0.8407 0.3216 0.6049
24 O 0.8440 0.3084 0.1069
25 O 0.8969 0.7050 0.6240
26 O 0.9037 0.7064 0.1228

=====

(8)
This entry pairs a crystal structure of Li7Mn2Co3O12 with its calculated PXRD pattern. Radiation: a wavelength of 1.5418 Å. Structure: the PBE+U geometry in the Materials Project.
Kinematic intensities with the Lorentz-polarization factor, no thermal factor.

Main lines, in order of falling intensity (10° ≤ 2θ ≤ 90°):
| 2theta | I_rel |
| --- | --- |
| 18.2 | 100 |
| 39.9 | 38 |
| 40.7 | 35 |
| 51.7 | 30 |
| 39.6 | 17 |
| 35.4 | 15 |
| 35.9 | 13 |
| 12.1 | 10 |
| 17.5 | 10 |
| 64.5 | 7 |

Atomic structure:
abc: 2.8902 5.1473 14.8865
angles: 99.95 94.73 90.85
Fractional coordinates of all 24 atoms:
1 Li 0.0000 0.0000 0.0000
2 Li 0.0667 0.5790 0.1593
3 Li 0.2523 0.7470 0.5060
4 Li 0.4219 0.9343 0.8448
5 Li 0.5684 0.0685 0.1474
6 Li 0.7520 0.2423 0.5088
7 Li 0.9295 0.4238 0.8400
8 Mn 0.5011 0.5011 0.0014
9 Mn 0.6625 0.6669 0.3335
10 Co 0.1643 0.1658 0.3332
11 Co 0.3346 0.3358 0.6702
12 Co 0.8330 0.8363 0.6697
13 O 0.0341 0.3101 0.0762
14 O 0.1315 0.8504 0.2603
15 O 0.1940 0.4823 0.4082
16 O 0.2769 0.0326 0.5897
17 O 0.3904 0.6433 0.7432
18 O 0.4635 0.2394 0.9240
19 O 0.5369 0.7650 0.0785
20 O 0.6289 0.3899 0.2621
21 O 0.7019 0.9424 0.4087
22 O 0.7804 0.5286 0.5910
23 O 0.8922 0.1396 0.7454
24 O 0.9703 0.6888 0.9279

=====

(9)
This entry pairs a crystal structure of Li5Mn2CoO8 with its calculated PXRD pattern. Radiation: a wavelength of 1.5418 Å. Structure: the PBE+U geometry in the Materials Project.
Kinematic intensities with the Lorentz-polarization factor, no thermal factor.

Main lines, in order of falling intensity (10° ≤ 2θ ≤ 90°):
| 2theta | I_rel |
| --- | --- |
| 18.4 | 100 |
| 43.9 | 62 |
| 44.0 | 30 |
| 36.4 | 25 |
| 64.0 | 16 |
| 63.8 | 15 |
| 18.9 | 13 |
| 36.1 | 12 |
| 57.7 | 10 |
| 17.8 | 9 |

Atomic structure:
abc: 9.7967 2.8790 10.1197
angles: 90.00 100.76 90.00
Fractional coordinates of all 32 atoms:
1 Li 0.0000 0.0000 0.0000
2 Li 0.2433 0.5000 0.1095
3 Li 0.2454 0.0000 0.3751
4 Li 0.2540 0.5000 0.6234
5 Li 0.2551 0.0000 0.8880
6 Li 0.5000 0.5000 0.0000
7 Li 0.7449 0.0000 0.1120
8 Li 0.7460 0.5000 0.3766
9 Li 0.7546 0.0000 0.6249
10 Li 0.7567 0.5000 0.8905
11 Mn 0.0069 0.5000 0.7593
12 Mn 0.4940 0.0000 0.2453
13 Mn 0.5060 0.0000 0.7547
14 Mn 0.9931 0.5000 0.2407
15 Co 0.0000 0.0000 0.5000
16 Co 0.5000 0.5000 0.5000
17 O 0.1067 0.0000 0.1957
18 O 0.1138 0.5000 0.4317
19 O 0.1146 0.0000 0.6918
20 O 0.1215 0.5000 0.9234
21 O 0.3790 0.0000 0.0811
22 O 0.3906 0.5000 0.3188
23 O 0.3930 0.5000 0.8004
24 O 0.3937 0.0000 0.5623
25 O 0.6063 0.0000 0.4377
26 O 0.6070 0.5000 0.1996
27 O 0.6094 0.5000 0.6812
28 O 0.6210 0.0000 0.9189
29 O 0.8785 0.5000 0.0766
30 O 0.8854 0.0000 0.3082
31 O 0.8862 0.5000 0.5683
32 O 0.8933 0.0000 0.8043